For Li5SbS3I2, the GGA-PBE geometry in Alexandria gives the calculated X-ray diffraction stick pattern in this record (copper Kα).
Lines closer than 0.1° are merged.

Main lines, by angle (2θ = 10–80°):
hkl, d [Å], I (rel.)
1 1 1, 5.612, 29
2 2 0, 4.154, 64
2 1 1, 4.117, 100
0 3 1, 3.895, 71
0 0 2, 3.806, 68
1 1 2, 3.460, 38
3 1 1, 3.095, 76
1 4 1, 2.977, 91
2 2 2, 2.806, 34
4 3 2, 1.950, 33

```
Li5SbS3I2
1.0
10.4948 0.0000 0.0000
0.0000 13.6000 0.0000
0.0000 0.0000 7.6114
Li Sb S I
20 4 12 8
Direct
0.0630 0.0965 0.2302 Li
0.0630 0.0965 0.7698 Li
0.1883 0.4613 0.0000 Li
0.1979 0.7499 0.2525 Li
0.1979 0.7499 0.7475 Li
0.3021 0.2499 0.2475 Li
0.3021 0.2499 0.7525 Li
0.3117 0.9613 0.5000 Li
0.4370 0.5965 0.2698 Li
0.4370 0.5965 0.7302 Li
0.5630 0.4035 0.2698 Li
0.5630 0.4035 0.7302 Li
0.6883 0.0387 0.5000 Li
0.6979 0.7501 0.2475 Li
0.6979 0.7501 0.7525 Li
0.8021 0.2501 0.2525 Li
0.8021 0.2501 0.7475 Li
0.8117 0.5387 0.0000 Li
0.9370 0.9035 0.2302 Li
0.9370 0.9035 0.7698 Li
0.2001 0.4908 0.5000 Sb
0.2999 0.9908 0.0000 Sb
0.7001 0.0092 0.0000 Sb
0.7999 0.5092 0.5000 Sb
0.1703 0.9312 0.2492 S
0.1703 0.9312 0.7508 S
0.2036 0.1578 0.0000 S
0.2964 0.6578 0.5000 S
0.3297 0.4312 0.2508 S
0.3297 0.4312 0.7492 S
0.6703 0.5688 0.2508 S
0.6703 0.5688 0.7492 S
0.7036 0.3422 0.5000 S
0.7964 0.8422 0.0000 S
0.8297 0.0688 0.2492 S
0.8297 0.0688 0.7508 S
0.0559 0.6415 0.0000 I
0.0753 0.2355 0.5000 I
0.4247 0.7355 0.0000 I
0.4441 0.1415 0.5000 I
0.5559 0.8585 0.5000 I
0.5753 0.2645 0.0000 I
0.9247 0.7645 0.5000 I
0.9441 0.3585 0.0000 I
```